# 1
Computed X-ray diffraction stick pattern
Compound: Sr3Cr2Cu2S2O5
Radiation: Cu Kα
Structure: a structure optimized by DFT (GGA+U)

Atomic structure:
a b c (Å): 3.9729 3.9729 26.0840
angles (deg): 90.00 90.00 90.00
Space group I4/mmm (No. 139)
Inequivalent atoms, fractional coordinates:
Sr: 0.0000 0.0000 0.0000 x2
Sr: 0.0000 0.0000 0.1417 x4
Cr: 0.0000 0.0000 0.4273 x4
Cu: 0.0000 0.5000 0.2500 x4
S: 0.0000 0.0000 0.3032 x4
O: 0.0000 0.0000 0.5000 x2
O: 0.0000 0.5000 0.0821 x8

Main lines, by angle (2θ from 15° to 90°):
two_theta, Rel. int.
32.61, 22
32.96, 100
38.14, 48
45.67, 51
57.46, 38
59.54, 25



# 2
Computed X-ray diffraction stick pattern
Compound: Cr2NiO4
Radiation: Cu Kα
Structure: a structure optimized by DFT (GGA+U)

Atomic structure:
a b c (Å): 5.9452 5.9873 6.0007
angles (deg): 119.78 119.65 90.11
Space group P1 (No. 1)
Inequivalent atoms, fractional coordinates:
Cr: 0.0000 0.0000 0.0000 x1
Cr: 0.0007 0.5025 0.5020 x1
Cr: 0.4997 0.0001 0.0002 x1
Cr: 0.9990 0.0007 0.4985 x1
Ni: 0.3744 0.6213 0.2503 x1
Ni: 0.6252 0.3725 0.7514 x1
O: 0.2167 0.2412 0.4740 x1
O: 0.2346 0.2127 0.9684 x1
O: 0.2387 0.7602 0.9785 x1
O: 0.2433 0.7683 0.5273 x1
O: 0.7570 0.2408 0.4745 x1
O: 0.7606 0.7822 0.0222 x1
O: 0.7662 0.2435 0.0317 x1
O: 0.7831 0.7672 0.5268 x1

Main lines, by angle (2θ from 15° to 90°):
two_theta, Rel. int.
29.75, 73
34.88, 97
35.17, 100
35.31, 99
61.74, 43
61.83, 43



# 3
Computed X-ray diffraction stick pattern
Compound: Li2CoNi3O8
Radiation: Cu Kα
Structure: a structure optimized by DFT (GGA+U)

Atomic structure:
a b c (Å): 5.6263 5.6916 5.8719
angles (deg): 91.52 118.62 118.48
Space group P-1 (No. 2)
Inequivalent atoms, fractional coordinates:
Li: 0.0000 0.0000 0.0000 x1
Li: 0.0000 0.5000 0.0000 x1
Co: 0.5000 0.0000 0.5000 x1
Ni: 0.0000 0.0000 0.5000 x1
Ni: 0.0000 0.5000 0.5000 x1
Ni: 0.5000 0.5000 0.5000 x1
O: 0.0431 0.2769 0.2962 x2
O: 0.0433 0.7902 0.2872 x2
O: 0.4734 0.7413 0.6994 x2
O: 0.4978 0.2545 0.7074 x2

Main lines, by angle (2θ from 15° to 90°):
two_theta, Rel. int.
18.24, 100
36.40, 12
36.85, 11
43.73, 18
44.19, 17
45.01, 16



# 4
Computed X-ray diffraction stick pattern
Compound: KLaZnWO6
Radiation: Cu Kα
Structure: a structure optimized by DFT (GGA+U)

Atomic structure:
a b c (Å): 8.0469 8.0469 8.0469
angles (deg): 90.00 90.00 90.00
Space group F-43m (No. 216)
Inequivalent atoms, fractional coordinates:
K: 0.0000 0.0000 0.0000 x4
La: 0.0000 0.0000 0.5000 x4
Zn: 0.2500 0.2500 0.2500 x4
W: 0.2500 0.2500 0.7500 x4
O: 0.0087 0.2500 0.7500 x24

Main lines, by angle (2θ from 15° to 90°):
two_theta, Rel. int.
19.10, 32
31.44, 100
37.05, 17
45.07, 32
55.98, 39
65.63, 19



# 5
Computed X-ray diffraction stick pattern
Compound: Mg6ZnCoO8
Radiation: Cu Kα
Structure: a structure optimized by DFT (GGA+U)

Atomic structure:
a b c (Å): 4.2745 4.2745 8.5290
angles (deg): 90.00 90.00 90.00
Space group P4/mmm (No. 123)
Inequivalent atoms, fractional coordinates:
Mg: 0.0000 0.0000 0.0000 x1
Mg: 0.0000 0.5000 0.2514 x4
Mg: 0.5000 0.5000 0.0000 x1
Zn: 0.0000 0.0000 0.5000 x1
Co: 0.5000 0.5000 0.5000 x1
O: 0.0000 0.0000 0.2466 x2
O: 0.0000 0.5000 0.0000 x2
O: 0.0000 0.5000 0.5000 x2
O: 0.5000 0.5000 0.2490 x2

Main lines, by angle (2θ from 15° to 90°):
two_theta, Rel. int.
31.41, 22
36.43, 44
42.29, 100
42.39, 50
61.40, 85
77.40, 26



# 6
Computed X-ray diffraction stick pattern
Compound: KFe3H6S2O14
Radiation: Cu Kα
Structure: a structure optimized by DFT (GGA+U)

Atomic structure:
a b c (Å): 8.9539 8.9539 22.0795
angles (deg): 90.00 90.00 120.00
Space group R-3m (No. 166, hexagonal axes)
Inequivalent atoms, fractional coordinates:
K: 0.0000 0.0000 0.0000 x3
Fe: 0.0000 0.5000 0.5000 x9
H: 0.0443 0.5221 0.0069 x18
S: 0.0000 0.0000 0.2628 x6
O: 0.0000 0.0000 0.3279 x6
O: 0.0760 0.1520 0.8876 x18
O: 0.0914 0.1828 0.7608 x18

Main lines, by angle (2θ from 15° to 90°):
two_theta, Rel. int.
19.83, 90
23.26, 71
23.29, 78
24.33, 62
28.13, 100
30.66, 48



# 7
Computed X-ray diffraction stick pattern
Compound: Li9Mn2Co5O16
Radiation: Cu Kα
Structure: a structure optimized by DFT (GGA+U)

Atomic structure:
a b c (Å): 4.9643 6.6029 9.0233
angles (deg): 98.56 96.77 97.74
Space group P1 (No. 1)
Inequivalent atoms, fractional coordinates:
Li: 0.0000 0.0000 0.0000 x1
Li: 0.0014 0.2607 0.7556 x1
Li: 0.0114 0.7515 0.2375 x1
Li: 0.4901 0.6259 0.3745 x1
Li: 0.4966 0.1376 0.8715 x1
Li: 0.4982 0.3801 0.6356 x1
Li: 0.5094 0.8746 0.1217 x1
Li: 0.7522 0.5675 0.9348 x1
Li: 0.9993 0.5099 0.5024 x1
Mn: 0.7478 0.0659 0.4406 x1
Mn: 0.7480 0.8193 0.6902 x1
Co: 0.2456 0.1906 0.3124 x1
Co: 0.2484 0.9426 0.5666 x1
Co: 0.2534 0.6856 0.8176 x1
Co: 0.2547 0.4468 0.0544 x1
Co: 0.7558 0.3197 0.1848 x1
O: 0.1034 0.4640 0.2803 x1
O: 0.1138 0.9623 0.7628 x1
O: 0.1193 0.2011 0.5250 x1
O: 0.1482 0.7113 0.0262 x1
O: 0.3673 0.4189 0.8469 x1
O: 0.3758 0.9226 0.3663 x1
O: 0.3839 0.6854 0.5997 x1
O: 0.3907 0.1781 0.1013 x1
O: 0.5907 0.5809 0.1523 x1
O: 0.6122 0.0783 0.6595 x1
O: 0.6122 0.3286 0.4028 x1
O: 0.6230 0.8443 0.8845 x1
O: 0.8750 0.8050 0.4864 x1
O: 0.8848 0.5640 0.7161 x1
O: 0.8922 0.0422 0.2182 x1
O: 0.9131 0.3016 0.9818 x1

Main lines, by angle (2θ from 15° to 90°):
two_theta, Rel. int.
18.34, 100
35.23, 16
35.85, 14
42.50, 30
43.46, 28
44.79, 25



# 8
Computed X-ray diffraction stick pattern
Compound: WOF3
Radiation: Cu Kα
Structure: a structure optimized by DFT (GGA+U)

Atomic structure:
a b c (Å): 9.2910 9.2910 3.8596
angles (deg): 90.00 90.00 90.00
Space group P-42_1m (No. 113)
Inequivalent atoms, fractional coordinates:
W: 0.1321 0.3679 0.2586 x4
O: 0.1272 0.3728 0.7586 x4
F: 0.0927 0.5927 0.2579 x4
F: 0.1089 0.1660 0.2588 x8

Main lines, by angle (2θ from 15° to 90°):
two_theta, Rel. int.
21.38, 100
24.98, 60
26.79, 32
37.22, 19
38.77, 30
54.83, 19



# 9
Computed X-ray diffraction stick pattern
Compound: Li2MnSiO4
Radiation: Cu Kα
Structure: a structure optimized by DFT (GGA+U)

Atomic structure:
a b c (Å): 11.0576 5.0745 6.3605
angles (deg): 90.00 90.00 90.00
Space group Pna2_1 (No. 33)
Inequivalent atoms, fractional coordinates:
Li: 0.0950 0.2055 0.0000 x4
Li: 0.1737 0.6963 0.2468 x4
Mn: 0.0864 0.2008 0.4924 x4
Si: 0.1645 0.6903 0.7479 x4
O: 0.0901 0.7840 0.5335 x4
O: 0.0988 0.8019 0.9643 x4
O: 0.1652 0.3647 0.7544 x4
O: 0.1950 0.3032 0.2405 x4

Main lines, by angle (2θ from 15° to 90°):
two_theta, Rel. int.
21.29, 90
22.41, 96
32.44, 100
35.38, 78
48.76, 29
57.82, 38



Please write out number 6 again, unchanged.
Computed X-ray diffraction stick pattern
Compound: KFe3H6S2O14
Radiation: Cu Kα
Structure: a structure optimized by DFT (GGA+U)

Atomic structure:
a b c (Å): 8.9539 8.9539 22.0795
angles (deg): 90.00 90.00 120.00
Space group R-3m (No. 166, hexagonal axes)
Inequivalent atoms, fractional coordinates:
K: 0.0000 0.0000 0.0000 x3
Fe: 0.0000 0.5000 0.5000 x9
H: 0.0443 0.5221 0.0069 x18
S: 0.0000 0.0000 0.2628 x6
O: 0.0000 0.0000 0.3279 x6
O: 0.0760 0.1520 0.8876 x18
O: 0.0914 0.1828 0.7608 x18

Main lines, by angle (2θ from 15° to 90°):
two_theta, Rel. int.
19.83, 90
23.26, 71
23.29, 78
24.33, 62
28.13, 100
30.66, 48